# 1
# LaPr6Dy2Er
Computed X-ray powder pattern, Cu Kα. Input: a structure optimized by DFT (PBE).
Peak positions follow from Bragg's law for the DFT cell and can differ from measured ones.

Structural model:
```
20
Lattice="4.7074 -7.6867 0.0000 4.7074 7.6867 0.0000 -1.2193 0.0000 9.7186" Properties=species:S:1:pos:R:3 pbc="T T T"
La 3.7929 7.2463 7.2890
La 4.4026 -7.2463 2.4297
Pr 1.8387 4.2574 6.6657
Pr 4.0380 4.9294 0.5384
Pr 4.7672 4.9294 4.3210
Pr 2.7292 1.6607 8.5792
Pr 5.7472 4.2574 7.9122
Pr 4.8566 1.6607 5.9987
Pr 3.3389 -1.6607 3.7199
Pr 2.4483 -4.2574 1.8064
Pr 5.4662 -1.6607 1.1394
Pr 3.4283 -4.9294 5.3977
Pr 4.1575 -4.9294 9.1803
Pr 6.3568 -4.2574 3.0529
Dy 1.6881 0.7475 5.3362
Dy 2.2978 -0.7475 0.4769
Dy 5.8977 0.7475 9.2417
Dy 6.5073 -0.7475 4.3824
Er 4.4026 1.3725 2.4297
Er 3.7929 -1.3725 7.2890
```

The 10 most intense peaks (15° ≤ 2θ ≤ 90°), sorted by position:
| 2θ/deg | d (Å) | I (rel.) |
| --- | --- | --- |
| 27.4 | 3.259 | 34 |
| 27.8 | 3.205 | 67 |
| 29.6 | 3.019 | 91 |
| 29.9 | 2.985 | 82 |
| 30.5 | 2.935 | 100 |
| 30.6 | 2.921 | 64 |
| 30.8 | 2.903 | 68 |
| 31.6 | 2.827 | 37 |
| 33.1 | 2.706 | 66 |
| 36.7 | 2.452 | 26 |

# 2
# LaPr2DyEr
Computed X-ray powder pattern, Cu Kα. Input: a structure optimized by DFT (PBE).
Peak positions follow from Bragg's law for the DFT cell and can differ from measured ones.

Structural model:
```
10
Lattice="8.6699 0.0000 0.0000 0.0000 6.5394 0.0000 -0.9059 0.0000 6.2836" Properties=species:S:1:pos:R:3 pbc="T T T"
La 0.0000 0.0000 0.0000
La -0.4529 0.0000 3.1418
Pr 2.5262 2.0321 1.2779
Pr 2.0732 4.5073 4.4197
Pr 5.6907 2.0321 1.8639
Pr 5.2378 4.5073 5.0056
Dy -0.6794 2.8982 4.7127
Dy -0.2265 3.6412 1.5709
Er 3.6555 1.0880 4.7127
Er 4.1085 5.4515 1.5709
```

The 10 most intense peaks (15° ≤ 2θ ≤ 90°), sorted by position:
| 2θ/deg | d (Å) | I (rel.) |
| --- | --- | --- |
| 20.7 | 4.291 | 46 |
| 27.1 | 3.289 | 72 |
| 28.4 | 3.142 | 55 |
| 28.8 | 3.096 | 42 |
| 29.2 | 3.055 | 100 |
| 30.1 | 2.967 | 98 |
| 31.9 | 2.802 | 99 |
| 34.6 | 2.592 | 56 |
| 41.9 | 2.156 | 53 |
| 57.3 | 1.607 | 43 |

# 3
# LaPr2Dy2Er
Computed X-ray powder pattern, Cu Kα. Input: a structure optimized by DFT (PBE).
Peak positions follow from Bragg's law for the DFT cell and can differ from measured ones.

Structural model:
```
12
Lattice="7.0890 0.0000 0.0000 0.0000 5.7482 0.0000 0.0000 0.0000 9.9658" Properties=species:S:1:pos:R:3 pbc="T T T"
La 0.0000 0.0000 0.0000
La 3.5445 0.0000 0.0000
Pr 0.0000 2.8741 4.9829
Pr 1.7723 0.0000 3.3067
Pr 3.5445 2.8741 4.9829
Pr 5.3168 0.0000 6.6591
Dy 1.7723 0.0000 6.6396
Dy 1.7723 2.8741 1.6748
Dy 5.3168 0.0000 3.3261
Dy 5.3168 2.8741 8.2910
Er 1.7723 2.8741 8.3177
Er 5.3168 2.8741 1.6481
```

The 10 most intense peaks (15° ≤ 2θ ≤ 90°), sorted by position:
| 2θ/deg | d (Å) | I (rel.) |
| --- | --- | --- |
| 31.0 | 2.888 | 87 |
| 31.1 | 2.875 | 100 |
| 40.4 | 2.233 | 15 |
| 44.5 | 2.038 | 32 |
| 55.3 | 1.662 | 40 |
| 55.4 | 1.660 | 13 |
| 61.5 | 1.509 | 29 |
| 64.9 | 1.438 | 12 |
| 73.6 | 1.287 | 14 |
| 79.0 | 1.212 | 14 |

# 4
# La3Pr6DyEr2
Computed X-ray powder pattern, Cu Kα. Input: a structure optimized by DFT (PBE).
Peak positions follow from Bragg's law for the DFT cell and can differ from measured ones.

Structural model:
```
12
Lattice="3.1874 -5.5266 0.0000 3.1874 5.5266 0.0000 -2.1289 0.0000 11.9399" Properties=species:S:1:pos:R:3 pbc="T T T"
La 0.0000 0.0000 0.0000
La 3.1874 1.8452 0.0000
La 3.1874 -1.8452 0.0000
Pr 1.0588 1.8441 3.0686
Pr -0.0034 0.0000 8.8728
Pr 1.0588 -1.8441 3.0686
Pr 3.1870 1.8441 8.8713
Pr 4.2493 0.0000 3.0672
Pr 3.1870 -1.8441 8.8713
Dy 2.1229 0.0000 5.9700
Er 2.1229 3.6852 5.9700
Er 2.1229 -3.6852 5.9700
```

The 10 most intense peaks (15° ≤ 2θ ≤ 90°), sorted by position:
| 2θ/deg | d (Å) | I (rel.) |
| --- | --- | --- |
| 29.7 | 3.004 | 100 |
| 29.9 | 2.985 | 32 |
| 34.5 | 2.598 | 67 |
| 49.5 | 1.841 | 24 |
| 49.8 | 1.832 | 23 |
| 58.8 | 1.570 | 15 |
| 58.9 | 1.567 | 28 |
| 59.2 | 1.562 | 14 |
| 61.8 | 1.502 | 12 |
| 80.4 | 1.195 | 12 |